1.
Structure and theoretical PXRD pattern of Tb2Cu5Ni5 (a cell relaxed with PBE; λ = 1.5418 Å (Cu Kα)).
No peak broadening, texture or thermal motion is included.

Atomic structure:
```
Tb2Cu5Ni5
1.0
4.034 0.000 0.000
0.000 4.926 0.000
0.000 0.000 8.511
Tb Cu Ni
2 5 5
Direct
0.000 0.000 0.000
0.000 0.500 0.500
0.500 0.000 0.500
0.500 0.250 0.249
0.500 0.250 0.751
0.500 0.750 0.249
0.500 0.750 0.751
0.000 0.000 0.335
0.000 0.000 0.665
0.000 0.500 0.162
0.000 0.500 0.838
0.500 0.500 0.000
```

Most intense lines, 10 to 80 degrees two-theta, low angle first:
d = 2.929 Å, I = 53; d = 2.460 Å, I = 30; d = 2.131 Å, I = 37; d = 2.100 Å, I = 100; d = 2.017 Å, I = 28; d = 1.560 Å, I = 15; d = 1.465 Å, I = 21; d = 1.340 Å, I = 15



2.
Structure and theoretical PXRD pattern of ErScGa4Co2 (a cell relaxed with PBE; λ = 1.5418 Å (Cu Kα)).
No peak broadening, texture or thermal motion is included.

Atomic structure:
```
ErScGa4Co2
1.0
6.723 0.000 0.000
0.000 2.008 4.852
0.000 -2.008 4.852
Er Sc Ga Co
1 1 4 2
Direct
0.000 0.000 0.000
0.500 0.863 0.863
0.203 0.287 0.287
0.307 0.578 0.578
0.693 0.578 0.578
0.797 0.287 0.287
0.000 0.719 0.719
0.500 0.140 0.140
```

Most intense lines, 10 to 80 degrees two-theta, low angle first:
d = 6.723 Å, I = 25; d = 2.519 Å, I = 29; d = 2.491 Å, I = 100; d = 2.359 Å, I = 70; d = 2.282 Å, I = 37; d = 2.034 Å, I = 24; d = 2.016 Å, I = 28; d = 2.008 Å, I = 38



3.
Structure and theoretical PXRD pattern of SnIrPb2O6 (a cell relaxed with PBE; λ = 1.5418 Å (Cu Kα)).
No peak broadening, texture or thermal motion is included.

Atomic structure:
```
SnIrPb2O6
1.0
2.880 1.663 4.562
-2.880 1.663 4.562
0.000 -3.326 4.562
Sn Ir Pb O
1 1 2 6
Direct
0.000 0.000 0.000
0.500 0.500 0.500
0.252 0.252 0.252
0.748 0.748 0.748
0.183 0.325 0.743
0.257 0.817 0.675
0.325 0.743 0.183
0.675 0.257 0.817
0.743 0.183 0.325
0.817 0.675 0.257
```

Most intense lines, 10 to 80 degrees two-theta, low angle first:
d = 2.880 Å, I = 100; d = 2.822 Å, I = 98; d = 2.016 Å, I = 50; d = 1.663 Å, I = 24; d = 1.651 Å, I = 43; d = 1.618 Å, I = 20; d = 1.283 Å, I = 18; d = 1.267 Å, I = 18



4.
Structure and theoretical PXRD pattern of Er2Ge5Os3 (a cell relaxed with PBE; λ = 1.5418 Å (Cu Kα)).
No peak broadening, texture or thermal motion is included.

Atomic structure:
```
Er2Ge5Os3
1.0
-4.941 6.235 2.900
4.941 -6.235 2.900
4.941 6.235 -2.900
Er Ge Os
4 10 6
Direct
0.143 0.230 0.373
0.357 0.730 0.087
0.643 0.270 0.913
0.857 0.770 0.627
0.043 0.750 0.293
0.085 0.676 0.761
0.250 0.250 0.000
0.415 0.176 0.591
0.457 0.750 0.707
0.543 0.250 0.293
0.585 0.824 0.409
0.750 0.750 0.000
0.915 0.324 0.239
0.957 0.250 0.707
0.149 0.905 0.054
0.250 0.750 0.500
0.351 0.405 0.756
0.649 0.595 0.244
0.750 0.250 0.500
0.851 0.095 0.946
```

Most intense lines, 10 to 80 degrees two-theta, low angle first:
d = 3.831 Å, I = 37; d = 2.635 Å, I = 49; d = 2.603 Å, I = 100; d = 2.501 Å, I = 54; d = 2.236 Å, I = 27; d = 2.123 Å, I = 75; d = 2.078 Å, I = 27; d = 1.611 Å, I = 32



5.
Structure and theoretical PXRD pattern of PrNdGd2Zn12Ge6 (a cell relaxed with PBE; λ = 1.5418 Å (Cu Kα)).
No peak broadening, texture or thermal motion is included.

Atomic structure:
```
PrNdGd2Zn12Ge6
1.0
7.641 0.000 0.000
0.000 4.073 0.000
0.000 0.000 13.242
Pr Nd Gd Zn Ge
1 1 2 12 6
Direct
0.000 0.000 0.000
0.000 0.000 0.335
0.501 0.000 0.501
0.501 0.000 0.833
0.144 0.500 0.525
0.144 0.500 0.810
0.190 0.000 0.667
0.215 0.500 0.168
0.406 0.000 0.263
0.407 0.000 0.072
0.643 0.500 0.312
0.644 0.500 0.024
0.690 0.000 0.168
0.712 0.500 0.667
0.904 0.000 0.573
0.904 0.000 0.762
0.311 0.500 0.362
0.312 0.500 0.973
0.386 0.500 0.667
0.804 0.500 0.476
0.804 0.500 0.858
0.885 0.500 0.168
```

Most intense lines, 10 to 80 degrees two-theta, low angle first:
d = 2.787 Å, I = 100; d = 2.569 Å, I = 15; d = 2.502 Å, I = 23; d = 2.206 Å, I = 32; d = 2.132 Å, I = 53; d = 2.036 Å, I = 24; d = 1.496 Å, I = 18; d = 1.361 Å, I = 21



6.
Structure and theoretical PXRD pattern of DyMgAgAu (a cell relaxed with PBE; λ = 1.5418 Å (Cu Kα)).
No peak broadening, texture or thermal motion is included.

Atomic structure:
```
DyMgAgAu
1.0
4.915 0.000 0.000
0.000 6.927 0.000
0.000 0.000 4.916
Dy Mg Ag Au
2 2 2 2
Direct
0.000 0.000 0.000
0.500 0.500 0.491
0.000 0.500 0.999
0.500 0.000 0.492
0.000 0.250 0.501
0.000 0.750 0.501
0.500 0.250 0.991
0.500 0.750 0.991
```

Most intense lines, 10 to 80 degrees two-theta, low angle first:
d = 4.009 Å, I = 17; d = 3.472 Å, I = 8; d = 2.455 Å, I = 100; d = 2.095 Å, I = 6; d = 1.738 Å, I = 12; d = 1.418 Å, I = 24; d = 1.416 Å, I = 12; d = 1.227 Å, I = 7



7.
Structure and theoretical PXRD pattern of CsLuP2Se7 (a cell relaxed with PBE; λ = 1.5418 Å (Cu Kα)).
No peak broadening, texture or thermal motion is included.

Atomic structure:
```
CsLuP2Se7
1.0
4.726 -5.339 0.000
4.726 5.339 0.000
-1.148 0.000 7.089
Cs Lu P Se
1 1 2 7
Direct
0.000 0.000 0.000
0.402 0.598 0.500
0.560 0.049 0.412
0.951 0.440 0.588
0.021 0.569 0.334
0.212 0.457 0.789
0.431 0.979 0.666
0.458 0.275 0.255
0.543 0.788 0.211
0.725 0.542 0.745
0.888 0.112 0.500
```

Most intense lines, 10 to 80 degrees two-theta, low angle first:
d = 7.089 Å, I = 50; d = 5.328 Å, I = 56; d = 4.714 Å, I = 41; d = 4.265 Å, I = 41; d = 3.513 Å, I = 69; d = 3.072 Å, I = 100; d = 3.007 Å, I = 86; d = 2.949 Å, I = 60



8.
Structure and theoretical PXRD pattern of SmPb2SO6 (a cell relaxed with PBE; λ = 1.5418 Å (Cu Kα)).
No peak broadening, texture or thermal motion is included.

Atomic structure:
```
SmPb2SO6
1.0
0.000 4.067 4.067
4.067 0.000 4.067
4.067 4.067 0.000
Sm Pb S O
1 2 1 6
Direct
0.000 0.000 0.000
0.250 0.250 0.250
0.750 0.750 0.750
0.500 0.500 0.500
0.276 0.276 0.724
0.276 0.724 0.276
0.276 0.724 0.724
0.724 0.276 0.276
0.724 0.276 0.724
0.724 0.724 0.276
```

Most intense lines, 10 to 80 degrees two-theta, low angle first:
d = 4.067 Å, I = 12; d = 2.876 Å, I = 100; d = 2.348 Å, I = 12; d = 2.034 Å, I = 27; d = 1.819 Å, I = 7; d = 1.660 Å, I = 40; d = 1.438 Å, I = 17; d = 1.286 Å, I = 19



9.
Structure and theoretical PXRD pattern of MgPtSeO (a cell relaxed with PBE; λ = 1.5418 Å (Cu Kα)).
No peak broadening, texture or thermal motion is included.

Atomic structure:
```
MgPtSeO
1.0
6.216 0.000 0.000
0.000 13.481 0.000
0.000 0.000 6.703
Mg Pt Se O
8 8 8 8
Direct
0.004 0.250 0.134
0.004 0.250 0.634
0.496 0.750 0.134
0.496 0.750 0.634
0.504 0.250 0.366
0.504 0.250 0.866
0.996 0.750 0.366
0.996 0.750 0.866
0.248 0.571 0.002
0.248 0.929 0.502
0.252 0.071 0.002
0.252 0.429 0.502
0.748 0.571 0.498
0.748 0.929 0.998
0.752 0.071 0.498
0.752 0.429 0.998
0.003 0.004 0.755
0.003 0.496 0.255
0.497 0.504 0.755
0.497 0.996 0.255
0.503 0.004 0.745
0.503 0.496 0.245
0.997 0.504 0.745
0.997 0.996 0.245
0.172 0.744 0.116
0.172 0.756 0.616
0.328 0.244 0.116
0.328 0.256 0.616
0.672 0.744 0.384
0.672 0.756 0.884
0.828 0.244 0.384
0.828 0.256 0.884
```

Most intense lines, 10 to 80 degrees two-theta, low angle first:
d = 6.740 Å, I = 100; d = 3.776 Å, I = 98; d = 2.710 Å, I = 65; d = 2.279 Å, I = 43; d = 2.159 Å, I = 38; d = 1.866 Å, I = 19; d = 1.784 Å, I = 20; d = 1.482 Å, I = 18



10.
Structure and theoretical PXRD pattern of Fe2SnSe3 (a cell relaxed with PBE; λ = 1.5418 Å (Cu Kα)).
No peak broadening, texture or thermal motion is included.

Atomic structure:
```
Fe2SnSe3
1.0
1.737 -6.642 0.000
1.737 6.642 0.000
0.000 0.000 9.886
Fe Sn Se
4 2 6
Direct
0.000 0.000 0.000
0.000 0.000 0.500
0.405 0.595 0.750
0.595 0.405 0.250
0.256 0.744 0.250
0.744 0.256 0.750
0.032 0.968 0.750
0.373 0.627 0.512
0.373 0.627 0.988
0.627 0.373 0.012
0.627 0.373 0.488
0.968 0.032 0.250
```

Most intense lines, 10 to 80 degrees two-theta, low angle first:
d = 2.757 Å, I = 55; d = 2.733 Å, I = 74; d = 2.634 Å, I = 100; d = 2.472 Å, I = 86; d = 2.104 Å, I = 38; d = 1.833 Å, I = 42; d = 1.737 Å, I = 30; d = 1.421 Å, I = 29



11.
Structure and theoretical PXRD pattern of MoS3N2Cl8 (a cell relaxed with PBE; λ = 1.5418 Å (Cu Kα)).
No peak broadening, texture or thermal motion is included.

Atomic structure:
```
MoS3N2Cl8
1.0
7.458 0.000 0.000
0.000 16.570 0.000
-5.130 0.000 11.765
Mo S N Cl
4 12 8 32
Direct
0.063 0.178 0.210
0.063 0.322 0.710
0.937 0.678 0.290
0.937 0.822 0.790
0.137 0.155 0.971
0.137 0.345 0.471
0.349 0.535 0.202
0.349 0.965 0.702
0.462 0.627 0.726
0.462 0.873 0.226
0.538 0.127 0.774
0.538 0.373 0.274
0.651 0.035 0.298
0.651 0.465 0.798
0.863 0.655 0.529
0.863 0.845 0.029
0.120 0.166 0.088
0.120 0.334 0.588
0.457 0.041 0.767
0.457 0.459 0.267
0.543 0.541 0.733
0.543 0.959 0.233
0.880 0.666 0.412
0.880 0.834 0.912
0.021 0.182 0.691
0.021 0.318 0.191
0.047 0.689 0.130
0.047 0.811 0.630
0.123 0.041 0.264
0.123 0.459 0.764
0.252 0.038 0.982
0.252 0.462 0.482
0.262 0.519 0.033
0.262 0.981 0.533
0.270 0.651 0.404
0.270 0.849 0.904
0.396 0.202 0.343
0.396 0.298 0.843
0.490 0.170 0.618
0.490 0.330 0.118
0.510 0.670 0.882
0.510 0.830 0.382
0.604 0.702 0.157
0.604 0.798 0.657
0.730 0.151 0.096
0.730 0.349 0.596
0.738 0.019 0.467
0.738 0.481 0.967
0.748 0.538 0.518
0.748 0.962 0.018
0.877 0.541 0.236
0.877 0.959 0.736
0.953 0.189 0.370
0.953 0.311 0.870
0.979 0.682 0.809
0.979 0.818 0.309
```

Most intense lines, 10 to 80 degrees two-theta, low angle first:
d = 6.774 Å, I = 75; d = 5.883 Å, I = 68; d = 5.484 Å, I = 53; d = 5.273 Å, I = 54; d = 4.338 Å, I = 100; d = 3.160 Å, I = 61; d = 3.149 Å, I = 81; d = 2.762 Å, I = 73